No. 1
CaTbPm2As4: theoretical powder diffractogram (a wavelength of 1.5418 Å), based on a crystal structure in Alexandria, relaxed with GGA-PBE.
No peak broadening, texture or thermal motion is included.

Top 10 peaks for 2θ from 10° to 80°, most intense first:
2.982 Å, 2θ 29.97, rel. 100
2.106 Å, 2θ 42.94, rel. 50
2.113 Å, 2θ 42.79, rel. 25
1.333 Å, 2θ 70.68, rel. 17
1.721 Å, 2θ 53.21, rel. 13
1.491 Å, 2θ 62.27, rel. 12
1.336 Å, 2θ 70.49, rel. 11
6.893 Å, 2θ 12.84, rel. 8
1.218 Å, 2θ 78.55, rel. 8
3.446 Å, 2θ 25.85, rel. 8

Structure:
a = 7.287 Å, b = 4.215 Å, c = 7.327 Å
α = 90.00°, β = 109.51°, γ = 90.00°
Positions (direct):
Ca 0.000 0.000 0.000
Tb 0.000 0.500 0.500
Pm 0.500 0.000 0.500
Pm 0.500 0.500 0.000
As 0.246 0.000 0.745
As 0.250 0.500 0.255
As 0.750 0.500 0.745
As 0.754 0.000 0.255



No. 2
Nd2Ga8Ni: theoretical powder diffractogram (a wavelength of 1.5418 Å), based on a crystal structure in Alexandria, relaxed with GGA-PBE.
No peak broadening, texture or thermal motion is included.

Top 10 peaks for 2θ from 10° to 80°, most intense first:
2.381 Å, 2θ 37.78, rel. 100
2.166 Å, 2θ 41.70, rel. 59
2.696 Å, 2θ 33.23, rel. 51
1.288 Å, 2θ 73.52, rel. 41
1.568 Å, 2θ 58.92, rel. 28
2.271 Å, 2θ 39.68, rel. 23
1.532 Å, 2θ 60.44, rel. 19
4.332 Å, 2θ 20.50, rel. 18
1.270 Å, 2θ 74.76, rel. 14
1.332 Å, 2θ 70.74, rel. 11

Structure:
a = 4.332 Å, b = 4.332 Å, c = 11.356 Å
α = 90.00°, β = 90.00°, γ = 90.00°
Positions (direct):
Nd 0.000 0.000 0.196
Nd 0.000 0.000 0.804
Ga 0.000 0.500 0.000
Ga 0.000 0.500 0.385
Ga 0.000 0.500 0.615
Ga 0.500 0.000 0.000
Ga 0.500 0.000 0.385
Ga 0.500 0.000 0.615
Ga 0.500 0.500 0.192
Ga 0.500 0.500 0.808
Ni 0.000 0.000 0.500



No. 3
La3Si2S8Br: theoretical powder diffractogram (a wavelength of 1.5418 Å), based on a crystal structure in Alexandria, relaxed with GGA-PBE.
No peak broadening, texture or thermal motion is included.

Top 10 peaks for 2θ from 10° to 80°, most intense first:
5.503 Å, 2θ 16.11, rel. 100
2.762 Å, 2θ 32.41, rel. 90
2.688 Å, 2θ 33.33, rel. 81
3.946 Å, 2θ 22.53, rel. 75
3.714 Å, 2θ 23.96, rel. 71
2.278 Å, 2θ 39.57, rel. 68
3.407 Å, 2θ 26.16, rel. 57
2.611 Å, 2θ 34.35, rel. 54
2.393 Å, 2θ 37.59, rel. 44
2.316 Å, 2θ 38.89, rel. 42

Structure:
a = 8.888 Å, b = 8.888 Å, c = 11.082 Å
α = 95.97°, β = 95.97°, γ = 52.71°
Positions (direct):
La 0.103 0.897 0.750
La 0.184 0.426 0.315
La 0.426 0.184 0.815
La 0.574 0.816 0.185
La 0.816 0.574 0.685
La 0.897 0.103 0.250
Si 0.126 0.195 0.032
Si 0.195 0.126 0.532
Si 0.805 0.874 0.468
Si 0.874 0.805 0.968
S 0.055 0.244 0.844
S 0.084 0.781 0.447
S 0.098 0.608 0.853
S 0.211 0.355 0.585
S 0.219 0.916 0.053
S 0.244 0.055 0.344
S 0.355 0.211 0.085
S 0.392 0.902 0.647
S 0.608 0.098 0.353
S 0.645 0.789 0.915
S 0.756 0.945 0.656
S 0.781 0.084 0.947
S 0.789 0.645 0.415
S 0.902 0.392 0.147
S 0.916 0.219 0.553
S 0.945 0.756 0.156
Br 0.499 0.501 0.250
Br 0.501 0.499 0.750



No. 4
GeHF: theoretical powder diffractogram (a wavelength of 1.5418 Å), based on a crystal structure in Alexandria, relaxed with GGA-PBE.
No peak broadening, texture or thermal motion is included.

Top 10 peaks for 2θ from 10° to 80°, most intense first:
3.221 Å, 2θ 27.69, rel. 100
4.963 Å, 2θ 17.87, rel. 96
4.056 Å, 2θ 21.91, rel. 66
2.141 Å, 2θ 42.21, rel. 46
4.160 Å, 2θ 21.36, rel. 31
2.968 Å, 2θ 30.11, rel. 27
2.117 Å, 2θ 42.71, rel. 26
1.867 Å, 2θ 48.77, rel. 24
2.256 Å, 2θ 39.97, rel. 22
1.653 Å, 2θ 55.60, rel. 22

Structure:
a = 4.514 Å, b = 4.234 Å, c = 5.385 Å
α = 90.00°, β = 112.84°, γ = 90.00°
Positions (direct):
Ge 0.100 0.250 0.126
Ge 0.900 0.750 0.874
H 0.129 0.250 0.419
H 0.871 0.750 0.581
F 0.475 0.750 0.814
F 0.525 0.250 0.186



No. 5
LiTbTl2I6: theoretical powder diffractogram (a wavelength of 1.5418 Å), based on a crystal structure in Alexandria, relaxed with GGA-PBE.
No peak broadening, texture or thermal motion is included.

Top 10 peaks for 2θ from 10° to 80°, most intense first:
3.474 Å, 2θ 25.64, rel. 100
3.433 Å, 2θ 25.96, rel. 56
2.897 Å, 2θ 30.87, rel. 51
2.924 Å, 2θ 30.57, rel. 50
2.862 Å, 2θ 31.26, rel. 34
3.585 Å, 2θ 24.83, rel. 29
2.330 Å, 2θ 38.64, rel. 29
2.678 Å, 2θ 33.46, rel. 28
2.348 Å, 2θ 38.33, rel. 27
2.613 Å, 2θ 34.32, rel. 25

Structure:
a = 8.041 Å, b = 8.522 Å, c = 14.032 Å
α = 90.00°, β = 124.33°, γ = 90.00°
Positions (direct):
Li 0.000 0.000 0.000
Li 0.000 0.500 0.500
Tb 0.500 0.000 0.500
Tb 0.500 0.500 0.000
Tl 0.212 0.090 0.744
Tl 0.212 0.410 0.244
Tl 0.788 0.590 0.756
Tl 0.788 0.910 0.256
I 0.140 0.195 0.449
I 0.140 0.305 0.949
I 0.260 0.697 0.449
I 0.260 0.803 0.949
I 0.355 0.018 0.247
I 0.355 0.482 0.747
I 0.645 0.518 0.253
I 0.645 0.982 0.753
I 0.740 0.197 0.051
I 0.740 0.303 0.551
I 0.860 0.695 0.051
I 0.860 0.805 0.551



No. 6
In4SnCl6: theoretical powder diffractogram (a wavelength of 1.5418 Å), based on a crystal structure in Alexandria, relaxed with GGA-PBE.
No peak broadening, texture or thermal motion is included.

Top 10 peaks for 2θ from 10° to 80°, most intense first:
2.964 Å, 2θ 30.15, rel. 100
2.693 Å, 2θ 33.27, rel. 46
3.809 Å, 2θ 23.35, rel. 29
1.892 Å, 2θ 48.10, rel. 23
1.775 Å, 2θ 51.49, rel. 21
6.323 Å, 2θ 14.01, rel. 21
2.360 Å, 2θ 38.14, rel. 19
2.006 Å, 2θ 45.19, rel. 16
1.499 Å, 2θ 61.88, rel. 13
4.719 Å, 2θ 18.80, rel. 12

Structure:
a = 8.517 Å, b = 8.517 Å, c = 9.438 Å
α = 90.00°, β = 90.00°, γ = 90.00°
Positions (direct):
In 0.158 0.342 0.250
In 0.158 0.342 0.750
In 0.342 0.842 0.250
In 0.342 0.842 0.750
In 0.658 0.158 0.250
In 0.658 0.158 0.750
In 0.842 0.658 0.250
In 0.842 0.658 0.750
Sn 0.000 0.000 0.000
Sn 0.500 0.500 0.500
Cl 0.000 0.000 0.296
Cl 0.000 0.000 0.704
Cl 0.150 0.699 0.000
Cl 0.199 0.650 0.500
Cl 0.301 0.150 0.000
Cl 0.350 0.199 0.500
Cl 0.500 0.500 0.204
Cl 0.500 0.500 0.796
Cl 0.650 0.801 0.500
Cl 0.699 0.850 0.000
Cl 0.801 0.350 0.500
Cl 0.850 0.301 0.000



No. 7
AlGe2HF: theoretical powder diffractogram (a wavelength of 1.5418 Å), based on a crystal structure in Alexandria, relaxed with GGA-PBE.
No peak broadening, texture or thermal motion is included.

Top 10 peaks for 2θ from 10° to 80°, most intense first:
2.374 Å, 2θ 37.90, rel. 100
4.422 Å, 2θ 20.08, rel. 36
1.990 Å, 2θ 45.60, rel. 30
2.814 Å, 2θ 31.80, rel. 22
1.479 Å, 2θ 62.83, rel. 22
1.210 Å, 2θ 79.14, rel. 22
2.211 Å, 2θ 40.81, rel. 21
1.306 Å, 2θ 72.37, rel. 14
1.814 Å, 2θ 50.29, rel. 13
1.739 Å, 2θ 52.65, rel. 11

Structure:
a = 3.979 Å, b = 3.979 Å, c = 4.422 Å
α = 90.00°, β = 90.00°, γ = 90.00°
Positions (direct):
Al 0.000 0.000 0.000
Ge 0.000 0.500 0.500
Ge 0.500 0.000 0.500
H 0.500 0.500 0.500
F 0.500 0.500 0.000



No. 8
TlAsAuCl: theoretical powder diffractogram (a wavelength of 1.5418 Å), based on a crystal structure in Alexandria, relaxed with GGA-PBE.
No peak broadening, texture or thermal motion is included.

Top 10 peaks for 2θ from 10° to 80°, most intense first:
3.191 Å, 2θ 27.96, rel. 100
3.342 Å, 2θ 26.67, rel. 59
3.933 Å, 2θ 22.61, rel. 47
2.573 Å, 2θ 34.86, rel. 43
2.181 Å, 2θ 41.39, rel. 42
7.866 Å, 2θ 11.25, rel. 41
1.930 Å, 2θ 47.08, rel. 37
2.648 Å, 2θ 33.85, rel. 37
2.154 Å, 2θ 41.94, rel. 30
3.119 Å, 2θ 28.62, rel. 29

Structure:
a = 3.905 Å, b = 3.908 Å, c = 7.914 Å
α = 84.68°, β = 84.76°, γ = 66.93°
Positions (direct):
Tl 0.000 0.000 0.000
As 0.696 0.698 0.704
Au 0.361 0.364 0.577
Cl 0.323 0.322 0.238